Diffraction record for NaCd2Ag4. The XRD peak list is calculated, not measured: it uses a cell relaxed with GGA-PBE and λ = 1.5418 Å (Cu Kα).

Largest 8 diffraction maxima, sorted by position, 10° ≤ 2θ ≤ 90°:
2θ = 15.73°, intensity 61, (1 1 0); 2θ = 22.32°, intensity 20, (2 0 0); 2θ = 35.65°, intensity 18, (3 1 0); 2θ = 37.03°, intensity 100, (2 2 1); 2θ = 37.55°, intensity 47, (0 0 2); 2θ = 40.46°, intensity 94, (3 1 1); 2θ = 67.41°, intensity 16, (2 2 3); 2θ = 69.72°, intensity 17, (3 1 3)

Structure:
a = 7.9649 Å, b = 7.9649 Å, c = 4.7911 Å
α = 90.00°, β = 90.00°, γ = 90.00°
Atoms (fractional coordinates):
Na 0.0000 0.0000 0.0000
Na 0.5000 0.5000 0.5000
Cd 0.2096 0.2096 0.5000
Cd 0.2904 0.7096 0.0000
Cd 0.7096 0.2904 0.0000
Cd 0.7904 0.7904 0.5000
Ag 0.1191 0.6266 0.5000
Ag 0.1266 0.3809 0.0000
Ag 0.3734 0.8809 0.5000
Ag 0.3809 0.1266 0.0000
Ag 0.6191 0.8734 0.0000
Ag 0.6266 0.1191 0.5000
Ag 0.8734 0.6191 0.0000
Ag 0.8809 0.3734 0.5000